Structure and calculated X-ray diffraction stick pattern of Pr12InGa5 (a cell relaxed with GGA-PBE; Cu Kα (λ = 1.5418 Å)).

Structural model:
Cell lengths 8.984, 8.984, 8.984 Å; angles 112.20, 111.52, 104.79 degrees
Element x y z (fractional)
Pr1 0.038 0.235 0.803
Pr2 0.180 0.276 0.456
Pr3 0.180 0.724 0.904
Pr4 0.322 0.028 0.706
Pr5 0.322 0.616 0.294
Pr6 0.432 0.235 0.197
Pr7 0.568 0.765 0.803
Pr8 0.678 0.384 0.706
Pr9 0.678 0.972 0.294
Pr10 0.820 0.276 0.096
Pr11 0.820 0.724 0.544
Pr12 0.962 0.765 0.197
In1 0.500 0.500 0.000
Ga1 0.000 0.000 0.000
Ga2 0.120 0.620 0.500
Ga3 0.359 0.000 0.359
Ga4 0.641 0.000 0.641
Ga5 0.880 0.380 0.500

Peak list (8 most intense, 2θ = 10–90°, by intensity)
29.94°, d 2.985, intensity 100.0; 31.57°, d 2.834, intensity 54.5; 32.44°, d 2.760, intensity 48.6; 33.06°, d 2.710, intensity 38.7; 35.84°, d 2.505, intensity 30.8; 55.95°, d 1.643, intensity 25.5; 32.66°, d 2.742, intensity 19.7; 55.04°, d 1.669, intensity 17.3

Structure and calculated X-ray diffraction stick pattern of Pr7In3Ga (a cell relaxed with GGA-PBE; Cu Kα (λ = 1.5418 Å)).

Structural model:
Cell lengths 8.288, 8.288, 8.288 Å; angles 138.28, 106.69, 88.07 degrees
Element x y z (fractional)
Pr1 0.000 0.000 0.000
Pr2 0.096 0.762 0.334
Pr3 0.314 0.500 0.814
Pr4 0.428 0.762 0.666
Pr5 0.572 0.238 0.334
Pr6 0.686 0.500 0.186
Pr7 0.904 0.238 0.666
In1 0.267 0.267 0.000
In2 0.500 0.000 0.500
In3 0.733 0.733 0.000
Ga1 0.000 0.500 0.500

Peak list (8 most intense, 2θ = 10–90°, by intensity)
34.60°, d 2.592, intensity 100.0; 30.29°, d 2.951, intensity 58.9; 30.00°, d 2.979, intensity 56.5; 43.15°, d 2.097, intensity 41.7; 32.65°, d 2.743, intensity 26.0; 56.62°, d 1.626, intensity 23.9; 24.64°, d 3.613, intensity 22.5; 56.27°, d 1.635, intensity 21.0

Structure and calculated X-ray diffraction stick pattern of PuInGaPt3 (a cell relaxed with GGA-PBE; Cu Kα (λ = 1.5418 Å)).

Structural model:
Cell lengths 8.964, 8.964, 5.630 Å; angles 90.00, 90.00, 143.03 degrees
Element x y z (fractional)
Pu1 0.217 0.783 0.750
Pu2 0.783 0.217 0.250
In1 0.393 0.607 0.250
In2 0.607 0.393 0.750
Ga1 0.091 0.909 0.250
Ga2 0.909 0.091 0.750
Pt1 0.237 0.763 0.250
Pt2 0.249 0.249 0.000
Pt3 0.249 0.249 0.500
Pt4 0.751 0.751 0.000
Pt5 0.751 0.751 0.500
Pt6 0.763 0.237 0.750

Peak list (8 most intense, 2θ = 10–90°, by intensity)
45.37°, d 1.999, intensity 100.0; 33.24°, d 2.695, intensity 78.5; 33.53°, d 2.672, intensity 76.7; 20.90°, d 4.251, intensity 74.5; 45.19°, d 2.007, intensity 37.6; 50.43°, d 1.810, intensity 30.4; 30.64°, d 2.918, intensity 19.3; 27.29°, d 3.268, intensity 16.5